(1)
The following is a calculated XRD peak list of CsRb2Br2. It was derived from a cell relaxed with GGA-PBE, using Cu Kα.

Cell and atoms:
```
CsRb2Br2
1.0
6.5844 0.0000 0.0000
0.0000 6.5844 0.0000
0.0000 0.0000 17.9461
Cs Rb Br
2 4 4
Direct
0.0000 0.0000 0.0000 Cs
0.5000 0.5000 0.5000 Cs
0.0000 0.5000 0.2500 Rb
0.0000 0.5000 0.7500 Rb
0.5000 0.0000 0.2500 Rb
0.5000 0.0000 0.7500 Rb
0.0000 0.0000 0.1990 Br
0.0000 0.0000 0.8010 Br
0.5000 0.5000 0.3010 Br
0.5000 0.5000 0.6990 Br
```

Top 10 peaks for 2θ from 10° to 90°, most intense first:
2θ 14.33, intensity 100
2θ 27.08, intensity 73
2θ 28.32, intensity 52
2θ 33.77, intensity 46
2θ 19.79, intensity 44
2θ 35.68, intensity 42
2θ 39.59, intensity 41
2θ 21.50, intensity 35
2θ 30.77, intensity 32
2θ 38.68, intensity 28

***

(2)
The following is a calculated XRD peak list of Cs8Rb2Br. It was derived from a cell relaxed with GGA-PBE, using Cu Kα.

Cell and atoms:
```
Cs8Rb2Br
1.0
6.5663 -12.9864 0.0000
6.5663 12.9864 0.0000
-4.8400 0.0000 6.3406
Cs Rb Br
8 2 1
Direct
0.0000 0.0000 0.0000 Cs
0.1405 0.3452 0.7423 Cs
0.2100 0.7970 0.0026 Cs
0.3452 0.1405 0.7423 Cs
0.5001 0.5001 0.4997 Cs
0.6580 0.8627 0.2598 Cs
0.7970 0.2100 0.0026 Cs
0.8627 0.6580 0.2598 Cs
0.3131 0.6942 0.5029 Rb
0.6942 0.3131 0.5029 Rb
0.0015 0.0015 0.5009 Br
```

Top 10 peaks for 2θ from 10° to 90°, most intense first:
2θ 20.40, intensity 100
2θ 21.85, intensity 57
2θ 22.29, intensity 55
2θ 31.41, intensity 45
2θ 20.61, intensity 41
2θ 20.63, intensity 41
2θ 40.29, intensity 33
2θ 26.75, intensity 31
2θ 35.09, intensity 30
2θ 54.92, intensity 21

***

(3)
The following is a calculated XRD peak list of CsRbBr2. It was derived from a cell relaxed with GGA-PBE, using Cu Kα.

Cell and atoms:
```
CsRbBr2
1.0
5.0663 0.0000 0.0000
0.0000 7.2005 0.0000
0.0000 0.0000 10.1864
Cs Rb Br
2 2 4
Direct
0.2500 0.2500 0.1274 Cs
0.7500 0.7500 0.8726 Cs
0.2500 0.2500 0.6209 Rb
0.7500 0.7500 0.3791 Rb
0.2500 0.7500 0.1374 Br
0.2500 0.7500 0.6150 Br
0.7500 0.2500 0.3850 Br
0.7500 0.2500 0.8626 Br
```

Top 10 peaks for 2θ from 10° to 90°, most intense first:
2θ 24.77, intensity 100
2θ 35.29, intensity 65
2θ 57.24, intensity 18
2θ 43.69, intensity 14
2θ 43.53, intensity 14
2θ 63.28, intensity 13
2θ 35.44, intensity 13
2θ 57.33, intensity 12
2θ 63.53, intensity 9
2θ 50.84, intensity 9

***

(4)
The following is a calculated XRD peak list of CsRb4Br5. It was derived from a cell relaxed with GGA-PBE, using Cu Kα.

Cell and atoms:
```
CsRb4Br5
1.0
-2.4971 3.5424 12.5148
2.4971 -3.5424 12.5148
2.4971 3.5424 -12.5148
Cs Rb Br
1 4 5
Direct
0.0000 0.0000 0.0000 Cs
0.2025 0.2025 0.0000 Rb
0.3986 0.3986 0.0000 Rb
0.6014 0.6014 0.0000 Rb
0.7975 0.7975 0.0000 Rb
0.1055 0.6055 0.5000 Br
0.3007 0.8007 0.5000 Br
0.5000 0.0000 0.5000 Br
0.6993 0.1993 0.5000 Br
0.8945 0.3945 0.5000 Br
```

Top 10 peaks for 2θ from 10° to 90°, most intense first:
2θ 25.17, intensity 100
2θ 35.90, intensity 77
2θ 58.30, intensity 30
2θ 44.35, intensity 28
2θ 64.48, intensity 18
2θ 64.60, intensity 9
2θ 51.71, intensity 9
2θ 81.57, intensity 8
2θ 81.69, intensity 7
2θ 76.07, intensity 7